Sr3Hf2O7: computed powder diffractogram (Cu Ka), based on the GGA-PBE geometry in the Materials Project.
Intensities are scaled so that the largest is 100.

Structural model:
Cell lengths 10.915, 10.915, 10.915 Å; angles 158.18, 158.18, 31.05 degrees
Positions (direct):
Sr: 0.000 0.000 0.000
Sr: 0.187 0.187 0.000
Sr: 0.813 0.813 0.000
Hf: 0.401 0.401 0.000
Hf: 0.599 0.599 0.000
O: 0.098 0.598 0.500
O: 0.302 0.302 0.000
O: 0.402 0.902 0.500
O: 0.500 0.500 0.000
O: 0.598 0.098 0.500
O: 0.698 0.698 0.000
O: 0.902 0.402 0.500

Main lines, in order of falling intensity (10° ≤ 2θ ≤ 80°):
30.3°, I 100; 30.6°, I 58; 54.2°, I 40; 43.8°, I 32; 53.7°, I 20; 21.9°, I 18; 16.9°, I 17; 63.1°, I 17; 43.0°, I 14; 72.3°, I 10